Cd2Hg7Pb2: simulated X-ray diffraction stick pattern (a wavelength of 1.5418 Å), based on a cell relaxed with GGA-PBE.
No peak broadening, texture or thermal motion is included.

Principal peaks in the range 15 to 90 degrees two-theta, sorted by position:
26.42°, d = 3.374 Å, I = 32, hkl 1 1 -2
31.50°, d = 2.840 Å, I = 33, hkl 1 3 -1
32.47°, d = 2.757 Å, I = 100, hkl 2 2 1
33.06°, d = 2.710 Å, I = 27, hkl 3 1 0
34.60°, d = 2.592 Å, I = 62, hkl 2 2 -2
37.30°, d = 2.411 Å, I = 47, hkl 0 0 3
37.47°, d = 2.400 Å, I = 26, hkl 0 4 0
41.91°, d = 2.155 Å, I = 23, hkl 4 0 -1

```
data_Cd2Hg7Pb2
_chemical_formula_sum 'Cd4 Hg14 Pb4'
_cell_length_a 8.6558
_cell_length_b 9.5997
_cell_length_c 7.3955
_cell_angle_alpha 90.00
_cell_angle_beta 101.79
_cell_angle_gamma 90.00
_symmetry_space_group_name_H-M 'C 1 2/m 1'
_symmetry_Int_Tables_number 12
loop_
_symmetry_equiv_pos_as_xyz
'x,y,z'
'-x,-y,-z'
'-x,y,-z'
'x,-y,z'
'x+1/2,y+1/2,z'
'-x+1/2,-y+1/2,-z'
'-x+1/2,y+1/2,-z'
'x+1/2,-y+1/2,z'
loop_
_atom_site_label
_atom_site_type_symbol
_atom_site_fract_x
_atom_site_fract_y
_atom_site_fract_z
Cd1 Cd 0.1786 0.0000 0.4723
Hg1 Hg 0.0000 0.5000 0.0000
Hg2 Hg 0.1108 0.0000 0.8556
Hg3 Hg 0.1822 0.2327 0.1772
Pb1 Pb 0.0000 0.3215 0.5000
```


ThTeN: simulated X-ray diffraction stick pattern (a wavelength of 1.5418 Å), based on a cell relaxed with GGA-PBE.
No peak broadening, texture or thermal motion is included.

Principal peaks in the range 15 to 90 degrees two-theta, sorted by position:
25.07°, d = 3.552 Å, I = 35, hkl 1 0 0
26.66°, d = 3.344 Å, I = 16, hkl 0 0 3
30.87°, d = 2.896 Å, I = 100, hkl 1 0 2
44.17°, d = 2.051 Å, I = 31, hkl 1 1 0
44.28°, d = 2.045 Å, I = 18, hkl 0 1 4
54.86°, d = 1.674 Å, I = 21, hkl 0 2 2
58.17°, d = 1.586 Å, I = 21, hkl 1 1 4
72.97°, d = 1.297 Å, I = 18, hkl 2 1 2

```
data_ThTeN
_chemical_formula_sum 'Th2 Te2 N2'
_cell_length_a 4.1010
_cell_length_b 4.1010
_cell_length_c 10.0080
_cell_angle_alpha 90.00
_cell_angle_beta 90.00
_cell_angle_gamma 120.00
_symmetry_space_group_name_H-M 'P -3 m 1'
_symmetry_Int_Tables_number 164
_symmetry_space_group_name_Hall '-P 3 2"'
loop_
_atom_site_label
_atom_site_type_symbol
_atom_site_fract_x
_atom_site_fract_y
_atom_site_fract_z
Th1 Th 0.3333 0.6667 0.3518
Te1 Te 0.3333 0.6667 0.8767
N1 N 0.3333 0.6667 0.5873
```


TlFe2P: simulated X-ray diffraction stick pattern (a wavelength of 1.5418 Å), based on a cell relaxed with GGA-PBE.
No peak broadening, texture or thermal motion is included.

Principal peaks in the range 15 to 90 degrees two-theta, sorted by position:
26.34°, d = 3.384 Å, I = 100, hkl 1 0 0
31.06°, d = 2.880 Å, I = 95, hkl 0 1 1
32.67°, d = 2.741 Å, I = 37, hkl 0 0 2
42.44°, d = 2.130 Å, I = 76, hkl 1 0 2
46.48°, d = 1.954 Å, I = 56, hkl 1 1 0
57.97°, d = 1.591 Å, I = 43, hkl 1 1 2
64.75°, d = 1.440 Å, I = 22, hkl 0 2 2
83.38°, d = 1.159 Å, I = 21, hkl 2 1 2

```
data_TlFe2P
_chemical_formula_sum 'Tl1 Fe2 P1'
_cell_length_a 3.9076
_cell_length_b 3.9076
_cell_length_c 5.4823
_cell_angle_alpha 90.00
_cell_angle_beta 90.00
_cell_angle_gamma 120.00
_symmetry_space_group_name_H-M 'P 3 m 1'
_symmetry_Int_Tables_number 156
loop_
_symmetry_equiv_pos_as_xyz
'x,y,z'
'-y,x-y,z'
'-x+y,-x,z'
'-y,-x,z'
'-x+y,y,z'
'x,x-y,z'
loop_
_atom_site_label
_atom_site_type_symbol
_atom_site_fract_x
_atom_site_fract_y
_atom_site_fract_z
Tl1 Tl 0.0000 0.0000 0.0000
Fe1 Fe 0.0000 0.0000 0.4915
Fe2 Fe 0.6667 0.3333 0.6177
P1 P 0.3333 0.6667 0.4938
```